[1]
RbIn4Pb6: computed powder X-ray diffraction pattern (CuKα), based on the GGA-PBE geometry in Alexandria.

Crystal structure
Unit cell a=9.2206 b=9.2206 c=4.9841 alpha=90.00 beta=90.00 gamma=120.00
Atoms (fractional coordinates):
Rb 0.0000 0.0000 0.0000
In 0.3333 0.6667 0.0000
In 0.4097 0.2048 0.5000
In 0.7952 0.2048 0.5000
In 0.7952 0.5903 0.5000
Pb 0.2029 0.4057 0.5000
Pb 0.2029 0.7971 0.5000
Pb 0.5306 0.0612 0.0000
Pb 0.5306 0.4694 0.0000
Pb 0.5943 0.7971 0.5000
Pb 0.9388 0.4694 0.0000

Largest 10 diffraction maxima, by intensity, 2θ = 10–90°:
Position (°2θ), Rel. int.
28.6, 1000
34.7, 729
11.1, 317
36.0, 290
29.6, 271
60.9, 231
39.1, 224
33.7, 197
54.2, 174
47.3, 149



[2]
Rb2In3Pb2: computed powder X-ray diffraction pattern (CuKα), based on the GGA-PBE geometry in Alexandria.

Crystal structure
Unit cell a=13.6361 b=5.1283 c=8.1334 alpha=90.00 beta=118.50 gamma=90.00
Atoms (fractional coordinates):
Rb 0.1534 0.0000 0.2934
Rb 0.3466 0.5000 0.7066
Rb 0.6534 0.5000 0.2934
Rb 0.8466 0.0000 0.7066
In 0.0000 0.5000 0.5000
In 0.0812 0.5000 0.9206
In 0.4188 0.0000 0.0794
In 0.5000 0.0000 0.5000
In 0.5812 0.0000 0.9206
In 0.9188 0.5000 0.0794
Pb 0.1577 0.0000 0.7884
Pb 0.3423 0.5000 0.2116
Pb 0.6577 0.5000 0.7884
Pb 0.8423 0.0000 0.2116

Largest 10 diffraction maxima, by intensity, 2θ = 10–90°:
Position (°2θ), Rel. int.
28.3, 1000
29.9, 305
14.0, 275
35.0, 251
37.7, 202
34.8, 189
37.8, 178
50.1, 142
50.2, 133
58.8, 123



[3]
Rb3In6Pb5: computed powder X-ray diffraction pattern (CuKα), based on the GGA-PBE geometry in Alexandria.

Crystal structure
Unit cell a=5.0177 b=14.9768 c=13.2979 alpha=90.00 beta=90.00 gamma=90.00
Atoms (fractional coordinates):
Rb 0.2500 0.0884 0.2497
Rb 0.2500 0.4116 0.2497
Rb 0.2500 0.7500 0.2492
Rb 0.7500 0.2500 0.7508
Rb 0.7500 0.5884 0.7503
Rb 0.7500 0.9116 0.7503
In 0.2500 0.0766 0.6219
In 0.2500 0.2500 0.4816
In 0.2500 0.2500 0.9941
In 0.2500 0.4234 0.6219
In 0.2500 0.5873 0.0040
In 0.2500 0.9127 0.0040
In 0.7500 0.0873 0.9960
In 0.7500 0.4127 0.9960
In 0.7500 0.5766 0.3781
In 0.7500 0.7500 0.0059
In 0.7500 0.7500 0.5184
In 0.7500 0.9234 0.3781
Pb 0.2500 0.0777 0.8576
Pb 0.2500 0.4223 0.8576
Pb 0.2500 0.6112 0.5157
Pb 0.2500 0.7500 0.8608
Pb 0.2500 0.8888 0.5157
Pb 0.7500 0.1112 0.4843
Pb 0.7500 0.2500 0.1392
Pb 0.7500 0.3888 0.4843
Pb 0.7500 0.5777 0.1424
Pb 0.7500 0.9223 0.1424

Largest 10 diffraction maxima, by intensity, 2θ = 10–90°:
Position (°2θ), Rel. int.
28.6, 1000
37.1, 617
26.9, 458
35.8, 392
38.3, 359
36.0, 299
18.9, 264
13.3, 248
51.7, 212
22.2, 166



[4]
RbInPb: computed powder X-ray diffraction pattern (CuKα), based on the GGA-PBE geometry in Alexandria.

Crystal structure
Unit cell a=5.4459 b=9.1406 c=8.8143 alpha=90.00 beta=90.00 gamma=90.00
Atoms (fractional coordinates):
Rb 0.0000 0.0000 0.0000
Rb 0.0000 0.5000 0.1465
Rb 0.5000 0.0000 0.6465
Rb 0.5000 0.5000 0.5000
In 0.0000 0.1639 0.4129
In 0.0000 0.8361 0.4129
In 0.5000 0.3361 0.9129
In 0.5000 0.6639 0.9129
Pb 0.0000 0.3248 0.7292
Pb 0.0000 0.6752 0.7292
Pb 0.5000 0.1752 0.2292
Pb 0.5000 0.8248 0.2292

Largest 10 diffraction maxima, by intensity, 2θ = 10–90°:
Position (°2θ), Rel. int.
27.8, 1000
31.1, 818
27.4, 785
34.7, 715
32.9, 615
45.9, 561
14.0, 457
39.6, 456
19.2, 389
54.0, 377



[5]
RbIn4Pb: computed powder X-ray diffraction pattern (CuKα), based on the GGA-PBE geometry in Alexandria.

Crystal structure
Unit cell a=5.3339 b=5.3339 c=8.2689 alpha=90.00 beta=90.00 gamma=120.00
Atoms (fractional coordinates):
Rb 0.0000 0.0000 0.0000
In 0.3333 0.6667 0.3039
In 0.3333 0.6667 0.6961
In 0.6667 0.3333 0.3039
In 0.6667 0.3333 0.6961
Pb 0.0000 0.0000 0.5000

Largest 10 diffraction maxima, by intensity, 2θ = 10–90°:
Position (°2θ), Rel. int.
29.0, 1000
33.6, 874
10.7, 529
45.0, 302
57.3, 292
38.0, 219
35.4, 198
60.1, 194
78.1, 186
70.6, 142



[6]
Rb2In6Pb3: computed powder X-ray diffraction pattern (CuKα), based on the GGA-PBE geometry in Alexandria.

Crystal structure
Unit cell a=9.2403 b=9.2403 c=4.8999 alpha=90.00 beta=90.00 gamma=97.83
Atoms (fractional coordinates):
Rb 0.2159 0.7841 0.0000
Rb 0.7841 0.2159 0.0000
In 0.1163 0.1163 0.5000
In 0.1429 0.4429 0.5000
In 0.4429 0.1429 0.5000
In 0.5571 0.8571 0.5000
In 0.8571 0.5571 0.5000
In 0.8837 0.8837 0.5000
Pb 0.2945 0.2945 0.0000
Pb 0.5000 0.5000 0.5000
Pb 0.7055 0.7055 0.0000

Largest 10 diffraction maxima, by intensity, 2θ = 10–90°:
Position (°2θ), Rel. int.
26.7, 1000
12.7, 529
34.6, 516
34.9, 422
29.3, 364
36.7, 328
37.6, 302
60.1, 245
43.5, 234
53.5, 218



Please write out number 1 again, unchanged.
RbIn4Pb6: computed powder X-ray diffraction pattern (CuKα), based on the GGA-PBE geometry in Alexandria.

Crystal structure
Unit cell a=9.2206 b=9.2206 c=4.9841 alpha=90.00 beta=90.00 gamma=120.00
Atoms (fractional coordinates):
Rb 0.0000 0.0000 0.0000
In 0.3333 0.6667 0.0000
In 0.4097 0.2048 0.5000
In 0.7952 0.2048 0.5000
In 0.7952 0.5903 0.5000
Pb 0.2029 0.4057 0.5000
Pb 0.2029 0.7971 0.5000
Pb 0.5306 0.0612 0.0000
Pb 0.5306 0.4694 0.0000
Pb 0.5943 0.7971 0.5000
Pb 0.9388 0.4694 0.0000

Largest 10 diffraction maxima, by intensity, 2θ = 10–90°:
Position (°2θ), Rel. int.
28.6, 1000
34.7, 729
11.1, 317
36.0, 290
29.6, 271
60.9, 231
39.1, 224
33.7, 197
54.2, 174
47.3, 149